(1)
Theoretical PXRD pattern
Compound: Rb3MoH8
Radiation: Cu Kα X-rays
Structure: a crystal structure in Alexandria, relaxed with PBE
Kinematic intensities with the Lorentz-polarization factor, no thermal factor.

Atomic structure:
```
data_Rb3MoH8
_chemical_formula_sum 'Rb6 Mo2 H16'
_cell_length_a 6.5658
_cell_length_b 6.5658
_cell_length_c 8.4824
_cell_angle_alpha 90.00
_cell_angle_beta 90.00
_cell_angle_gamma 90.00
_space_group_name_H-M_alt 'I -4 2 m'
_space_group_IT_number 121
_space_group_name_Hall 'I -4 2'
loop_
_atom_site_label
_atom_site_fract_x
_atom_site_fract_y
_atom_site_fract_z
_atom_site_occupancy
Rb1 0.0000 0.0000 0.0000 1
Rb2 0.0000 0.5000 0.2500 1
Mo1 0.0000 0.0000 0.5000 1
H1 0.1045 0.1045 0.6729 1
H2 0.1901 0.1901 0.4471 1
```

Peak list (12 most intense, 2θ = 10–80°, by angle)
two_theta, I (rel.), index
27.16, 56, 2 0 0
28.51, 100, 1 1 2
38.79, 22, 2 2 0
42.64, 8, 0 0 4
48.84, 44, 3 1 2
51.29, 19, 2 0 4
59.00, 12, 2 2 4
63.35, 10, 4 2 0
64.05, 10, 3 3 2
69.50, 8, 1 1 6
77.47, 11, 5 1 2
79.38, 11, 4 2 4

***

(2)
Theoretical PXRD pattern
Compound: Rb3MoH7
Radiation: Cu Kα X-rays
Structure: a crystal structure in Alexandria, relaxed with PBE
Kinematic intensities with the Lorentz-polarization factor, no thermal factor.

Atomic structure:
```
data_Rb3MoH7
_chemical_formula_sum 'Rb6 Mo2 H14'
_cell_length_a 8.7428
_cell_length_b 8.9629
_cell_length_c 6.3854
_cell_angle_alpha 90.00
_cell_angle_beta 133.09
_cell_angle_gamma 90.00
_space_group_name_H-M_alt 'C 1 m 1'
_space_group_IT_number 8
loop_
_space_group_symop_operation_xyz
'x,y,z'
'x,-y,z'
'x+1/2,y+1/2,z'
'x+1/2,-y+1/2,z'
loop_
_atom_site_label
_atom_site_fract_x
_atom_site_fract_y
_atom_site_fract_z
_atom_site_occupancy
Rb1 0.0000 0.0000 0.0000 1
Rb2 0.4851 0.2497 0.5001 1
Mo1 0.4804 0.0000 0.0007 1
H1 0.0387 0.3063 0.0027 1
H2 0.1781 0.5000 0.4031 1
H3 0.1903 0.5000 0.0042 1
H4 0.2793 0.0000 0.5981 1
H5 0.3122 0.1127 0.9990 1
```

Peak list (12 most intense, 2θ = 10–80°, by angle)
two_theta, I (rel.), index
27.61, 100, 0 2 1
27.98, 96, 2 0 0
28.52, 92, 2 2 -1
38.62, 21, 0 0 2
40.25, 18, 0 4 0
41.31, 16, 4 0 -2
48.71, 40, 2 2 1
49.73, 38, 2 4 0
50.41, 35, 4 2 -1
57.00, 13, 0 4 2
59.04, 11, 4 4 -2
77.93, 11, 2 4 2

***

(3)
Theoretical PXRD pattern
Compound: Mo3H2Rh2
Radiation: Cu Kα X-rays
Structure: a crystal structure in Alexandria, relaxed with PBE
Kinematic intensities with the Lorentz-polarization factor, no thermal factor.

Atomic structure:
```
data_Mo3H2Rh2
_chemical_formula_sum 'Mo6 H4 Rh4'
_cell_length_a 9.2540
_cell_length_b 2.8178
_cell_length_c 6.9826
_cell_angle_alpha 90.00
_cell_angle_beta 118.85
_cell_angle_gamma 90.00
_space_group_name_H-M_alt 'C 1 2/m 1'
_space_group_IT_number 12
loop_
_space_group_symop_operation_xyz
'x,y,z'
'-x,-y,-z'
'-x,y,-z'
'x,-y,z'
'x+1/2,y+1/2,z'
'-x+1/2,-y+1/2,-z'
'-x+1/2,y+1/2,-z'
'x+1/2,-y+1/2,z'
loop_
_atom_site_label
_atom_site_fract_x
_atom_site_fract_y
_atom_site_fract_z
_atom_site_occupancy
Mo1 0.0000 0.0000 0.0000 1
Mo2 0.1903 0.0000 0.7721 1
H1 0.1217 0.5000 0.9327 1
Rh1 0.0974 0.5000 0.3959 1
```

Peak list (12 most intense, 2θ = 10–80°, by angle)
two_theta, I (rel.), index
38.70, 49, 2 0 -3
38.99, 100, 1 1 1
39.53, 49, 4 0 -1
44.93, 31, 2 0 2
45.64, 65, 3 1 -2
65.40, 18, 1 1 -4
66.35, 10, 0 2 0
66.55, 20, 5 1 0
66.70, 10, 6 0 -4
78.86, 10, 3 1 3
79.52, 23, 2 2 -3
79.74, 5, 6 0 1

***

(4)
Theoretical PXRD pattern
Compound: MoH2Rh2
Radiation: Cu Kα X-rays
Structure: a crystal structure in Alexandria, relaxed with PBE
Kinematic intensities with the Lorentz-polarization factor, no thermal factor.

Atomic structure:
```
data_MoH2Rh2
_chemical_formula_sum 'Mo2 H4 Rh4'
_cell_length_a 2.8305
_cell_length_b 3.9448
_cell_length_c 8.7646
_cell_angle_alpha 90.00
_cell_angle_beta 90.00
_cell_angle_gamma 90.00
_space_group_name_H-M_alt 'P m m n'
_space_group_IT_number 59
loop_
_space_group_symop_operation_xyz
'x,y,z'
'-x,-y,-z'
'-x+1/2,-y+1/2,z'
'x+1/2,y+1/2,-z'
'x+1/2,-y,-z'
'-x+1/2,y,z'
'-x,y+1/2,-z'
'x,-y+1/2,z'
loop_
_atom_site_label
_atom_site_fract_x
_atom_site_fract_y
_atom_site_fract_z
_atom_site_occupancy
Mo1 0.2500 0.2500 0.0858 1
H1 0.2500 0.7500 0.4336 1
H2 0.2500 0.7500 0.7267 1
Rh1 0.2500 0.2500 0.4125 1
Rh2 0.2500 0.2500 0.7709 1
```

Peak list (12 most intense, 2θ = 10–80°, by angle)
two_theta, I (rel.), index
30.49, 3, 0 1 2
37.84, 2, 1 0 2
38.34, 100, 0 1 3
39.17, 99, 1 1 0
44.57, 67, 1 0 3
46.02, 32, 0 2 0
47.46, 2, 0 1 4
63.71, 9, 0 0 6
66.00, 51, 2 0 0
67.14, 2, 1 1 5
77.40, 21, 1 1 6
78.99, 24, 2 1 3

***

(5)
Theoretical PXRD pattern
Compound: Mo2H3Ru2
Radiation: Cu Kα X-rays
Structure: a crystal structure in Alexandria, relaxed with PBE
Kinematic intensities with the Lorentz-polarization factor, no thermal factor.

Atomic structure:
```
data_Mo2H3Ru2
_chemical_formula_sum 'Mo4 H6 Ru4'
_cell_length_a 9.4362
_cell_length_b 2.8517
_cell_length_c 4.9346
_cell_angle_alpha 90.00
_cell_angle_beta 100.87
_cell_angle_gamma 90.00
_space_group_name_H-M_alt 'C 1 2/m 1'
_space_group_IT_number 12
loop_
_space_group_symop_operation_xyz
'x,y,z'
'-x,-y,-z'
'-x,y,-z'
'x,-y,z'
'x+1/2,y+1/2,z'
'-x+1/2,-y+1/2,-z'
'-x+1/2,y+1/2,-z'
'x+1/2,-y+1/2,z'
loop_
_atom_site_label
_atom_site_fract_x
_atom_site_fract_y
_atom_site_fract_z
_atom_site_occupancy
Mo1 0.1215 0.0000 0.3506 1
H1 0.0000 0.5000 0.5000 1
H2 0.2397 0.0000 0.7459 1
Ru1 0.1204 0.5000 0.8692 1
```

Peak list (12 most intense, 2θ = 10–80°, by angle)
two_theta, I (rel.), index
38.55, 33, 2 0 -2
38.82, 100, 4 0 0
44.88, 46, 3 1 -1
45.39, 21, 2 0 2
65.23, 7, 6 0 -2
65.50, 20, 0 2 0
65.96, 13, 5 1 1
78.35, 8, 5 1 -3
78.61, 8, 2 2 -2
78.79, 16, 4 2 0
79.40, 7, 3 1 3
79.66, 4, 6 0 2

***

(6)
Theoretical PXRD pattern
Compound: YSb2MoH
Radiation: Cu Kα X-rays
Structure: a crystal structure in Alexandria, relaxed with PBE
Kinematic intensities with the Lorentz-polarization factor, no thermal factor.

Atomic structure:
```
data_YSb2MoH
_chemical_formula_sum 'Y1 Sb2 Mo1 H1'
_cell_length_a 5.3664
_cell_length_b 5.3664
_cell_length_c 3.6671
_cell_angle_alpha 90.00
_cell_angle_beta 90.00
_cell_angle_gamma 90.00
_space_group_name_H-M_alt 'P 4/m m m'
_space_group_IT_number 123
_space_group_name_Hall '-P 4 2'
loop_
_atom_site_label
_atom_site_fract_x
_atom_site_fract_y
_atom_site_fract_z
_atom_site_occupancy
Y1 0.0000 0.0000 0.0000 1
Sb1 0.0000 0.5000 0.5000 1
Mo1 0.5000 0.5000 0.5000 1
H1 0.5000 0.5000 0.0000 1
```

Peak list (12 most intense, 2θ = 10–80°, by angle)
two_theta, I (rel.), index
24.27, 37, 0 0 1
29.50, 52, 1 0 1
33.39, 100, 2 0 0
34.00, 57, 1 1 1
41.71, 35, 2 0 1
45.15, 32, 2 1 1
47.95, 35, 2 2 0
49.73, 16, 0 0 2
54.45, 16, 2 2 1
60.08, 21, 3 1 1
61.23, 33, 2 0 2
71.56, 21, 2 2 2

***

(7)
Theoretical PXRD pattern
Compound: Mo2HSe
Radiation: Cu Kα X-rays
Structure: a crystal structure in Alexandria, relaxed with PBE
Kinematic intensities with the Lorentz-polarization factor, no thermal factor.

Atomic structure:
```
data_Mo2HSe
_chemical_formula_sum 'Mo8 H4 Se4'
_cell_length_a 4.7896
_cell_length_b 4.7896
_cell_length_c 10.3485
_cell_angle_alpha 90.00
_cell_angle_beta 90.00
_cell_angle_gamma 90.00
_space_group_name_H-M_alt 'I -4 2 d'
_space_group_IT_number 122
_space_group_name_Hall 'I -4 2bw'
loop_
_atom_site_label
_atom_site_fract_x
_atom_site_fract_y
_atom_site_fract_z
_atom_site_occupancy
Mo1 0.1228 0.2500 0.1250 1
H1 0.0000 0.0000 0.0000 1
Se1 0.0000 0.0000 0.5000 1
```

Peak list (12 most intense, 2θ = 10–80°, by angle)
two_theta, I (rel.), index
31.57, 100, 1 1 2
31.97, 60, 1 0 3
41.55, 18, 2 0 2
43.13, 83, 2 1 1
47.88, 19, 1 0 5
50.13, 20, 2 1 3
52.04, 29, 2 0 4
60.21, 15, 1 1 6
61.19, 11, 3 1 0
72.29, 13, 3 1 4
76.91, 14, 3 2 3
78.63, 14, 2 1 7

***

(8)
Theoretical PXRD pattern
Compound: SnMoH3
Radiation: Cu Kα X-rays
Structure: a crystal structure in Alexandria, relaxed with PBE
Kinematic intensities with the Lorentz-polarization factor, no thermal factor.

Atomic structure:
```
data_SnMoH3
_chemical_formula_sum 'Sn1 Mo1 H3'
_cell_length_a 3.6762
_cell_length_b 3.6762
_cell_length_c 3.6762
_cell_angle_alpha 90.00
_cell_angle_beta 90.00
_cell_angle_gamma 90.00
_space_group_name_H-M_alt 'P m -3 m'
_space_group_IT_number 221
_space_group_name_Hall '-P 4 2 3'
loop_
_atom_site_label
_atom_site_fract_x
_atom_site_fract_y
_atom_site_fract_z
_atom_site_occupancy
Sn1 0.0000 0.0000 0.0000 1
Mo1 0.5000 0.5000 0.5000 1
H1 0.0000 0.5000 0.5000 1
```

Peak list (7 most intense, 2θ = 10–80°, by angle)
two_theta, I (rel.), index
24.21, 1, 1 0 0
34.50, 100, 1 1 0
42.60, 1, 1 1 1
49.60, 19, 2 0 0
55.93, 1, 2 1 0
61.82, 37, 2 1 1
72.76, 12, 2 2 0

***

(9)
Theoretical PXRD pattern
Compound: TaMo3H
Radiation: Cu Kα X-rays
Structure: a crystal structure in Alexandria, relaxed with PBE
Kinematic intensities with the Lorentz-polarization factor, no thermal factor.

Atomic structure:
```
data_TaMo3H
_chemical_formula_sum 'Ta1 Mo3 H1'
_cell_length_a 4.0939
_cell_length_b 4.0939
_cell_length_c 4.0939
_cell_angle_alpha 90.00
_cell_angle_beta 90.00
_cell_angle_gamma 90.00
_space_group_name_H-M_alt 'P m -3 m'
_space_group_IT_number 221
_space_group_name_Hall '-P 4 2 3'
loop_
_atom_site_label
_atom_site_fract_x
_atom_site_fract_y
_atom_site_fract_z
_atom_site_occupancy
Ta1 0.0000 0.0000 0.0000 1
Mo1 0.0000 0.5000 0.5000 1
H1 0.5000 0.5000 0.5000 1
```

Peak list (10 most intense, 2θ = 10–80°, by angle)
two_theta, I (rel.), index
21.71, 8, 1 0 0
30.89, 8, 1 1 0
38.07, 100, 1 1 1
44.25, 49, 2 0 0
49.80, 4, 2 1 0
54.94, 3, 2 1 1
64.37, 32, 2 2 0
68.79, 2, 3 0 0
73.09, 1, 3 1 0
77.30, 37, 3 1 1

***

(10)
Theoretical PXRD pattern
Compound: Tc2MoH2
Radiation: Cu Kα X-rays
Structure: a crystal structure in Alexandria, relaxed with PBE
Kinematic intensities with the Lorentz-polarization factor, no thermal factor.

Atomic structure:
```
data_Tc2MoH2
_chemical_formula_sum 'Tc8 Mo4 H8'
_cell_length_a 2.8622
_cell_length_b 14.8096
_cell_length_c 4.8346
_cell_angle_alpha 90.00
_cell_angle_beta 90.00
_cell_angle_gamma 90.00
_space_group_name_H-M_alt 'C m c 21'
_space_group_IT_number 36
loop_
_space_group_symop_operation_xyz
'x,y,z'
'-x,-y,z+1/2'
'-x,y,z'
'x,-y,z+1/2'
'x+1/2,y+1/2,z'
'-x+1/2,-y+1/2,z+1/2'
'-x+1/2,y+1/2,z'
'x+1/2,-y+1/2,z+1/2'
loop_
_atom_site_label
_atom_site_fract_x
_atom_site_fract_y
_atom_site_fract_z
_atom_site_occupancy
Tc1 0.0000 0.9998 0.0000 1
Tc2 0.0000 0.1826 0.2483 1
Mo1 0.0000 0.3603 0.2664 1
H1 0.0000 0.2394 0.6161 1
H2 0.0000 0.3912 0.8715 1
```

Peak list (12 most intense, 2θ = 10–80°, by angle)
two_theta, I (rel.), index
31.84, 17, 1 1 0
36.40, 52, 0 6 0
37.00, 100, 1 1 1
39.20, 53, 0 2 2
41.06, 26, 0 6 1
43.99, 53, 1 5 0
44.78, 44, 0 4 2
48.04, 36, 1 5 1
49.75, 23, 1 1 2
52.94, 19, 1 3 2
67.30, 28, 1 7 2
78.51, 17, 1 11 0

***

(11)
Theoretical PXRD pattern
Compound: Ti3MoH8
Radiation: Cu Kα X-rays
Structure: a crystal structure in Alexandria, relaxed with PBE
Kinematic intensities with the Lorentz-polarization factor, no thermal factor.

Atomic structure:
```
data_Ti3MoH8
_chemical_formula_sum 'Ti3 Mo1 H8'
_cell_length_a 4.3975
_cell_length_b 4.3975
_cell_length_c 4.3975
_cell_angle_alpha 90.00
_cell_angle_beta 90.00
_cell_angle_gamma 90.00
_space_group_name_H-M_alt 'P m -3 m'
_space_group_IT_number 221
_space_group_name_Hall '-P 4 2 3'
loop_
_atom_site_label
_atom_site_fract_x
_atom_site_fract_y
_atom_site_fract_z
_atom_site_occupancy
Ti1 0.0000 0.0000 0.5000 1
Mo1 0.5000 0.5000 0.5000 1
H1 0.2514 0.2514 0.2514 1
```

Peak list (12 most intense, 2θ = 10–80°, by angle)
two_theta, I (rel.), index
20.19, 13, 1 0 0
28.71, 11, 1 1 0
35.35, 100, 1 1 1
41.05, 44, 2 0 0
46.16, 6, 2 1 0
50.86, 5, 2 1 1
59.45, 31, 2 2 0
63.46, 3, 2 2 1
67.34, 2, 3 1 0
71.10, 34, 3 1 1
74.79, 9, 2 2 2
78.41, 1, 3 2 0